Structure and computed X-ray powder pattern of Pa3Br (a structure optimized by DFT (PBE); CuKα).

Most intense lines, 10 to 90 degrees two-theta, by angle:
2θ/deg	I/Imax
19.70	34
21.96	105
34.35	1000
39.80	337
40.02	166
45.92	33
57.55	117
57.72	232
68.77	277
69.08	137
72.40	120
85.81	40

Structure:
Cell: 5.528 5.528 5.528 Å, 131.63 131.63 70.82°
Fractional coordinates of all 4 atoms:
Pa (0.000, 0.000, 0.000)
Pa (0.250, 0.750, 0.500)
Pa (0.750, 0.250, 0.500)
Br (0.500, 0.500, 0.000)

=====

Structure and computed X-ray powder pattern of PmPaBr (a structure optimized by DFT (PBE); CuKα).

Most intense lines, 10 to 90 degrees two-theta, by angle:
2θ/deg	I/Imax
18.56	1000
26.92	346
27.35	368
29.88	662
32.62	731
34.71	789
34.89	461
38.11	642
44.90	201
46.59	392
62.47	257
64.96	206

Structure:
Cell: 3.368 5.143 12.986 Å, 90.00 90.00 90.00°
Fractional coordinates of all 6 atoms:
Pm (0.250, 0.250, 0.059)
Pm (0.750, 0.750, 0.941)
Pa (0.250, 0.750, 0.200)
Pa (0.750, 0.250, 0.800)
Br (0.250, 0.250, 0.621)
Br (0.750, 0.750, 0.379)

=====

Structure and computed X-ray powder pattern of RbPaBr6 (a structure optimized by DFT (PBE); CuKα).

Most intense lines, 10 to 90 degrees two-theta, by angle:
2θ/deg	I/Imax
12.58	244
13.93	1000
15.72	595
21.48	859
28.07	666
34.28	564
34.55	643
36.65	277
39.64	365
47.23	389
48.46	247
51.24	257

Structure:
Cell: 8.320 8.320 8.320 Å, 55.11 55.11 55.11°
Fractional coordinates of all 8 atoms:
Rb (0.000, 0.000, 0.000)
Pa (0.500, 0.500, 0.500)
Br (0.093, 0.591, 0.591)
Br (0.409, 0.409, 0.907)
Br (0.409, 0.907, 0.409)
Br (0.591, 0.093, 0.591)
Br (0.591, 0.591, 0.093)
Br (0.907, 0.409, 0.409)

=====

Structure and computed X-ray powder pattern of PaS5Br (a structure optimized by DFT (PBE); CuKα).

Most intense lines, 10 to 90 degrees two-theta, by angle:
2θ/deg	I/Imax
14.48	194
14.59	1000
15.18	811
15.31	498
16.71	475
19.78	167
20.50	213
22.36	188
30.64	197
34.46	181
34.83	187
36.13	184

Structure:
Cell: 7.155 7.975 9.346 Å, 86.47 70.25 64.77°
Fractional coordinates of all 14 atoms:
Pa (0.095, 0.233, 0.248)
Pa (0.905, 0.767, 0.752)
S (0.013, 0.721, 0.058)
S (0.180, 0.803, 0.860)
S (0.239, 0.474, 0.097)
S (0.265, 0.958, 0.381)
S (0.272, 0.798, 0.560)
S (0.728, 0.202, 0.440)
S (0.735, 0.042, 0.619)
S (0.761, 0.526, 0.903)
S (0.820, 0.197, 0.140)
S (0.987, 0.279, 0.942)
Br (0.000, 0.500, 0.500)
Br (0.500, 0.000, 0.000)

=====

Structure and computed X-ray powder pattern of Pa6S12Br (a structure optimized by DFT (PBE); CuKα).

Most intense lines, 10 to 90 degrees two-theta, by angle:
2θ/deg	I/Imax
13.94	254
23.16	1000
24.02	744
27.88	457
28.10	413
36.37	418
36.73	632
39.51	257
42.05	399
44.99	336
51.35	382
59.30	278

Structure:
Cell: 8.060 8.060 8.060 Å, 104.01 104.01 104.01°
Fractional coordinates of all 19 atoms:
Pa (0.249, 0.249, 0.662)
Pa (0.249, 0.662, 0.249)
Pa (0.338, 0.751, 0.751)
Pa (0.662, 0.249, 0.249)
Pa (0.751, 0.338, 0.751)
Pa (0.751, 0.751, 0.338)
S (0.129, 0.500, 0.871)
S (0.129, 0.871, 0.500)
S (0.187, 0.451, 0.451)
S (0.451, 0.187, 0.451)
S (0.451, 0.451, 0.187)
S (0.500, 0.129, 0.871)
S (0.500, 0.871, 0.129)
S (0.549, 0.549, 0.813)
S (0.549, 0.813, 0.549)
S (0.813, 0.549, 0.549)
S (0.871, 0.129, 0.500)
S (0.871, 0.500, 0.129)
Br (0.000, 0.000, 0.000)

=====

Structure and computed X-ray powder pattern of Pa2S4Br (a structure optimized by DFT (PBE); CuKα).

Most intense lines, 10 to 90 degrees two-theta, by angle:
2θ/deg	I/Imax
13.01	962
14.37	830
21.61	589
23.74	753
26.20	510
26.78	1000
28.86	347
31.82	347
34.37	474
36.99	726
42.89	874
45.92	435

Structure:
Cell: 8.501 8.501 8.501 Å, 124.58 76.50 131.75°
Fractional coordinates of all 14 atoms:
Pa (0.000, 0.000, 0.000)
Pa (0.000, 0.500, 0.500)
Pa (0.392, 0.338, 0.554)
Pa (0.784, 0.838, 0.446)
S (0.069, 0.346, 0.675)
S (0.069, 0.894, 0.223)
S (0.121, 0.977, 0.643)
S (0.334, 0.477, 0.357)
S (0.671, 0.394, 0.325)
S (0.671, 0.846, 0.777)
S (0.726, 0.478, 0.749)
S (0.729, 0.978, 0.251)
Br (0.083, 0.457, 0.126)
Br (0.330, 0.957, 0.874)

=====

Structure and computed X-ray powder pattern of PaSbS4Br (a structure optimized by DFT (PBE); CuKα).

Most intense lines, 10 to 90 degrees two-theta, by angle:
2θ/deg	I/Imax
10.58	1000
15.60	99
19.13	218
19.86	387
22.55	168
26.91	276
28.91	149
34.33	98
35.33	95
39.18	119
39.39	161
41.87	112

Structure:
Cell: 10.066 10.066 7.364 Å, 109.60 109.60 52.72°
Fractional coordinates of all 14 atoms:
Pa (0.227, 0.227, 0.100)
Pa (0.773, 0.773, 0.900)
Sb (0.295, 0.295, 0.625)
Sb (0.705, 0.705, 0.375)
S (0.094, 0.471, 0.881)
S (0.164, 0.164, 0.373)
S (0.366, 0.366, 0.396)
S (0.471, 0.094, 0.881)
S (0.529, 0.906, 0.119)
S (0.634, 0.634, 0.604)
S (0.836, 0.836, 0.627)
S (0.906, 0.529, 0.119)
Br (0.077, 0.077, 0.832)
Br (0.923, 0.923, 0.168)

=====

Structure and computed X-ray powder pattern of Pa2SiBr2 (a structure optimized by DFT (PBE); CuKα).

Most intense lines, 10 to 90 degrees two-theta, by angle:
2θ/deg	I/Imax
25.52	392
27.80	331
29.08	1000
32.28	343
33.99	151
34.14	665
44.70	491
45.33	420
54.22	178
57.32	210
57.42	153
82.84	152

Structure:
Cell: 10.807 10.807 10.807 Å, 21.62 21.62 21.62°
Fractional coordinates of all 5 atoms:
Pa (0.119, 0.119, 0.119)
Pa (0.881, 0.881, 0.881)
Si (0.500, 0.500, 0.500)
Br (0.274, 0.274, 0.274)
Br (0.726, 0.726, 0.726)

=====

Structure and computed X-ray powder pattern of PaTiBr6 (a structure optimized by DFT (PBE); CuKα).

Most intense lines, 10 to 90 degrees two-theta, by angle:
2θ/deg	I/Imax
12.98	929
15.48	200
17.50	705
19.16	172
23.93	188
30.34	1000
32.82	445
38.89	308
39.63	187
40.46	222
45.30	649
53.04	199

Structure:
Cell: 7.598 7.598 6.689 Å, 98.39 98.39 127.79°
Fractional coordinates of all 8 atoms:
Pa (0.000, 0.000, 0.000)
Ti (0.500, 0.500, 0.500)
Br (0.122, 0.407, 0.264)
Br (0.256, 0.256, 0.744)
Br (0.407, 0.122, 0.264)
Br (0.593, 0.878, 0.736)
Br (0.744, 0.744, 0.256)
Br (0.878, 0.593, 0.736)

=====

Structure and computed X-ray powder pattern of Pa2TlBr8 (a structure optimized by DFT (PBE); CuKα).

Most intense lines, 10 to 90 degrees two-theta, by angle:
2θ/deg	I/Imax
13.24	1000
15.99	345
18.04	116
23.18	103
25.09	99
29.90	362
30.08	258
32.30	126
33.03	203
40.45	230
41.33	104
51.22	109

Structure:
Cell: 7.376 7.376 11.194 Å, 101.79 101.79 97.45°
Fractional coordinates of all 11 atoms:
Pa (0.188, 0.188, 0.168)
Pa (0.812, 0.812, 0.832)
Tl (0.500, 0.500, 0.500)
Br (0.026, 0.412, 0.324)
Br (0.126, 0.126, 0.897)
Br (0.412, 0.026, 0.324)
Br (0.476, 0.476, 0.183)
Br (0.524, 0.524, 0.817)
Br (0.588, 0.974, 0.676)
Br (0.874, 0.874, 0.103)
Br (0.974, 0.588, 0.676)

=====

Structure and computed X-ray powder pattern of PaTl2Br7 (a structure optimized by DFT (PBE); CuKα).

Most intense lines, 10 to 90 degrees two-theta, by angle:
2θ/deg	I/Imax
17.94	359
18.62	793
18.75	1000
22.08	437
30.04	493
30.76	505
30.88	436
31.99	328
33.81	565
34.72	346
35.94	482
39.21	355

Structure:
Cell: 10.146 10.146 12.508 Å, 125.61 125.61 51.91°
Fractional coordinates of all 20 atoms:
Pa (0.113, 0.887, 0.750)
Pa (0.887, 0.113, 0.250)
Tl (0.257, 0.353, 0.199)
Tl (0.353, 0.257, 0.699)
Tl (0.647, 0.743, 0.301)
Tl (0.743, 0.647, 0.801)
Br (0.011, 0.657, 0.710)
Br (0.032, 0.730, 0.111)
Br (0.077, 0.749, 0.473)
Br (0.251, 0.923, 0.027)
Br (0.270, 0.968, 0.389)
Br (0.343, 0.989, 0.790)
Br (0.433, 0.567, 0.750)
Br (0.567, 0.433, 0.250)
Br (0.657, 0.011, 0.210)
Br (0.730, 0.032, 0.611)
Br (0.749, 0.077, 0.973)
Br (0.923, 0.251, 0.527)
Br (0.968, 0.270, 0.889)
Br (0.989, 0.343, 0.290)

=====

Structure and computed X-ray powder pattern of PaTl2Br6 (a structure optimized by DFT (PBE); CuKα).

Most intense lines, 10 to 90 degrees two-theta, by angle:
2θ/deg	I/Imax
16.79	1000
22.29	522
25.32	294
32.86	892
33.94	340
38.13	287
40.99	430
41.96	194
51.97	287
55.01	170
65.59	218
70.83	204

Structure:
Cell: 7.470 7.470 14.147 Å, 90.00 90.00 90.00°
Fractional coordinates of all 18 atoms:
Pa (0.000, 0.000, 0.000)
Pa (0.500, 0.500, 0.500)
Tl (0.000, 0.000, 0.334)
Tl (0.000, 0.000, 0.666)
Tl (0.500, 0.500, 0.166)
Tl (0.500, 0.500, 0.834)
Br (0.184, 0.184, 0.145)
Br (0.184, 0.184, 0.855)
Br (0.234, 0.234, 0.500)
Br (0.266, 0.734, 0.000)
Br (0.316, 0.684, 0.355)
Br (0.316, 0.684, 0.645)
Br (0.684, 0.316, 0.355)
Br (0.684, 0.316, 0.645)
Br (0.734, 0.266, 0.000)
Br (0.766, 0.766, 0.500)
Br (0.816, 0.816, 0.145)
Br (0.816, 0.816, 0.855)

=====

Please write out number 1 again, unchanged.
Structure and computed X-ray powder pattern of Pa3Br (a structure optimized by DFT (PBE); CuKα).

Most intense lines, 10 to 90 degrees two-theta, by angle:
2θ/deg	I/Imax
19.70	34
21.96	105
34.35	1000
39.80	337
40.02	166
45.92	33
57.55	117
57.72	232
68.77	277
69.08	137
72.40	120
85.81	40

Structure:
Cell: 5.528 5.528 5.528 Å, 131.63 131.63 70.82°
Fractional coordinates of all 4 atoms:
Pa (0.000, 0.000, 0.000)
Pa (0.250, 0.750, 0.500)
Pa (0.750, 0.250, 0.500)
Br (0.500, 0.500, 0.000)